Record 1
# RbAsBr4
Theoretical XRD peak list, Cu Kα, 1.54184 Å. Input: a structure optimized by DFT (GGA-PBE).
No peak broadening, texture or thermal motion is included.

Cell and atoms:
Unit cell a=5.357 b=21.816 c=7.733 alpha=90.00 beta=90.00 gamma=90.00
Space group Cmcm (No. 63)
Symmetry-distinct sites (fractional):
Rb: 0.000 0.082 0.250 x4
As: 0.000 0.398 0.250 x4
Br: 0.000 0.085 0.750 x4
Br: 0.000 0.323 0.012 x8
Br: 0.000 0.500 0.000 x4

The 8 most intense peaks (10 to 90 degrees two-theta), most intense first:
(hkl)	d (Å)	2theta	I (rel.)
0 6 2	2.649	33.84	100
1 1 2	3.103	28.77	84
2 6 2	1.883	48.32	71
1 5 0	3.383	26.34	70
2 0 0	2.679	33.45	59
1 11 2	1.677	54.73	41
1 3 0	4.315	20.59	31
0 2 1	6.308	14.04	28

***

Record 2
# Rb5As2Br
Theoretical XRD peak list, Cu Kα, 1.54184 Å. Input: a structure optimized by DFT (GGA-PBE).
No peak broadening, texture or thermal motion is included.

Cell and atoms:
Unit cell a=9.078 b=9.078 c=16.139 alpha=90.00 beta=90.00 gamma=90.00
Space group I4/mcm (No. 140)
Symmetry-distinct sites (fractional):
Rb: 0.000 0.000 0.000 x4
Rb: 0.181 0.319 0.135 x16
As: 0.102 0.398 0.500 x8
Br: 0.000 0.000 0.250 x4

The 8 most intense peaks (10 to 90 degrees two-theta), most intense first:
(hkl)	d (Å)	2theta	I (rel.)
2 1 3	3.241	27.53	100
2 0 4	3.016	29.62	92
3 1 0	2.871	31.16	55
2 2 0	3.209	27.80	31
4 1 1	2.182	41.38	29
3 3 4	1.890	48.14	27
5 1 4	1.629	56.50	26
2 1 5	2.527	35.53	25